Entry 1:
PrBPdO5: computed powder X-ray diffraction pattern (Cu Ka), based on a cell relaxed with GGA-PBE.

Crystal structure
```
data_PrBPdO5
_chemical_formula_sum 'Pr4 B4 Pd4 O20'
_space_group_name_H-M_alt 'C 1 2/c 1'
_space_group_IT_number 15
_cell_length_a 6.417
_cell_length_b 8.878
_cell_length_c 6.862
_cell_angle_alpha 90.00
_cell_angle_beta 112.32
_cell_angle_gamma 90.00
loop_
_space_group_symop_operation_xyz
'x,y,z'
'-x,-y,-z'
'-x,y,-z+1/2'
'x,-y,z+1/2'
'x+1/2,y+1/2,z'
'-x+1/2,-y+1/2,-z'
'-x+1/2,y+1/2,-z+1/2'
'x+1/2,-y+1/2,z+1/2'
loop_
_atom_site_label
_atom_site_type_symbol
_atom_site_fract_x
_atom_site_fract_y
_atom_site_fract_z
Pr1 Pr 0.000 0.145 0.250
B1 B 0.000 0.195 0.750
Pd1 Pd 0.000 0.500 0.000
O1 O 0.000 0.403 0.250
O2 O 0.108 0.284 0.633
O3 O 0.164 0.088 0.919
```

Most intense lines, 2θ from 10° to 90°, most intense first:
2θ = 28.2°, 3.162 Å, I 100.0, (1 1 -2)
2θ = 33.8°, 2.649 Å, I 78.9, (1 3 0)
2θ = 30.1°, 2.968 Å, I 74.4, (2 0 0)
2θ = 19.0°, 4.676 Å, I 50.1, (1 1 -1)
2θ = 24.5°, 3.638 Å, I 42.1, (0 2 1)
2θ = 34.7°, 2.582 Å, I 34.3, (0 2 2)
2θ = 53.0°, 1.727 Å, I 32.1, (2 4 -2)
2θ = 45.0°, 2.014 Å, I 28.9, (3 1 -2)


Entry 2:
Tl2B2PdO6: computed powder X-ray diffraction pattern (Cu Ka), based on a cell relaxed with GGA-PBE.

Crystal structure
```
data_Tl2B2PdO6
_chemical_formula_sum 'Tl6 B6 Pd3 O18'
_space_group_name_H-M_alt 'R -3 m'
_space_group_IT_number 166
_space_group_name_Hall '-R 3 2"'
_cell_length_a 5.1420
_cell_length_b 5.1420
_cell_length_c 22.1077
_cell_angle_alpha 90.00
_cell_angle_beta 90.00
_cell_angle_gamma 120.00
loop_
_atom_site_label
_atom_site_type_symbol
_atom_site_fract_x
_atom_site_fract_y
_atom_site_fract_z
Tl1 Tl 0.0000 0.0000 0.2202
B1 B 0.0000 0.0000 0.3820
Pd1 Pd 0.0000 0.0000 0.0000
O1 O 0.0237 0.5118 0.2774
```

Most intense lines, 2θ from 10° to 90°, most intense first:
2θ = 28.4°, 3.138 Å, I 100.0, (0 1 5)
2θ = 34.9°, 2.572 Å, I 87.1, (1 1 0)
2θ = 25.7°, 3.468 Å, I 68.2, (1 0 4)
2θ = 51.5°, 1.776 Å, I 46.4, (1 1 9)
2θ = 21.5°, 4.131 Å, I 44.3, (0 1 2)
2θ = 43.8°, 2.065 Å, I 28.4, (0 2 4)
2θ = 20.3°, 4.365 Å, I 26.9, (1 0 1)
2θ = 58.7°, 1.573 Å, I 23.5, (1 2 5)


Entry 3:
PmB4O7: computed powder X-ray diffraction pattern (Cu Ka), based on a cell relaxed with GGA-PBE.

Crystal structure
```
data_PmB4O7
_chemical_formula_sum 'Pm2 B8 O14'
_space_group_name_H-M_alt 'P m n 21'
_space_group_IT_number 31
_cell_length_a 10.914
_cell_length_b 4.467
_cell_length_c 4.284
_cell_angle_alpha 90.00
_cell_angle_beta 90.00
_cell_angle_gamma 90.00
loop_
_space_group_symop_operation_xyz
'x,y,z'
'-x+1/2,-y,z+1/2'
'-x,y,z'
'x+1/2,-y,z+1/2'
loop_
_atom_site_label
_atom_site_type_symbol
_atom_site_fract_x
_atom_site_fract_y
_atom_site_fract_z
Pm1 Pm 0.000 0.221 0.000
B1 B 0.122 0.676 0.493
B2 B 0.246 0.826 0.970
O1 O 0.000 0.751 0.371
O2 O 0.131 0.744 0.826
O3 O 0.148 0.362 0.433
O4 O 0.216 0.876 0.320
```

Most intense lines, 2θ from 10° to 90°, most intense first:
2θ = 33.3°, 2.690 Å, I 100.0, (2 1 1)
2θ = 22.3°, 3.988 Å, I 57.2, (1 0 1)
2θ = 32.3°, 2.773 Å, I 54.9, (3 0 1)
2θ = 21.5°, 4.134 Å, I 51.7, (1 1 0)
2θ = 44.3°, 2.046 Å, I 49.2, (4 1 1)
2θ = 16.2°, 5.457 Å, I 48.0, (2 0 0)
2θ = 31.7°, 2.821 Å, I 47.7, (3 1 0)
2θ = 28.9°, 3.092 Å, I 40.9, (0 1 1)


Entry 4:
PmB2SO8: computed powder X-ray diffraction pattern (Cu Ka), based on a cell relaxed with GGA-PBE.

Crystal structure
```
data_PmB2SO8
_chemical_formula_sum 'Pm2 B4 S2 O16'
_space_group_name_H-M_alt 'C 1 2/m 1'
_space_group_IT_number 12
_cell_length_a 7.358
_cell_length_b 4.593
_cell_length_c 6.904
_cell_angle_alpha 90.00
_cell_angle_beta 104.24
_cell_angle_gamma 90.00
loop_
_space_group_symop_operation_xyz
'x,y,z'
'-x,-y,-z'
'-x,y,-z'
'x,-y,z'
'x+1/2,y+1/2,z'
'-x+1/2,-y+1/2,-z'
'-x+1/2,y+1/2,-z'
'x+1/2,-y+1/2,z'
loop_
_atom_site_label
_atom_site_type_symbol
_atom_site_fract_x
_atom_site_fract_y
_atom_site_fract_z
Pm1 Pm 0.000 0.000 0.000
B1 B 0.205 0.000 0.696
S1 S 0.000 0.500 0.500
O1 O 0.064 0.250 0.680
O2 O 0.191 0.500 0.105
O3 O 0.214 0.500 0.474
```

Most intense lines, 2θ from 10° to 90°, most intense first:
2θ = 28.2°, 3.167 Å, I 100.0, (1 1 1)
2θ = 25.0°, 3.560 Å, I 85.8, (2 0 0)
2θ = 26.6°, 3.346 Å, I 32.5, (0 0 2)
2θ = 23.0°, 3.862 Å, I 31.3, (1 1 0)
2θ = 42.0°, 2.153 Å, I 30.5, (3 1 -1)
2θ = 48.0°, 1.894 Å, I 27.7, (0 2 2)
2θ = 31.9°, 2.809 Å, I 26.5, (2 0 -2)
2θ = 13.2°, 6.692 Å, I 23.8, (0 0 1)


Entry 5:
PmBSeO2: computed powder X-ray diffraction pattern (Cu Ka), based on a cell relaxed with GGA-PBE.

Crystal structure
```
data_PmBSeO2
_chemical_formula_sum 'Pm2 B2 Se2 O4'
_space_group_name_H-M_alt 'P 1 21/m 1'
_space_group_IT_number 11
_cell_length_a 5.731
_cell_length_b 4.810
_cell_length_c 6.048
_cell_angle_alpha 90.00
_cell_angle_beta 102.89
_cell_angle_gamma 90.00
loop_
_space_group_symop_operation_xyz
'x,y,z'
'-x,-y,-z'
'-x,y+1/2,-z'
'x,-y+1/2,z'
loop_
_atom_site_label
_atom_site_type_symbol
_atom_site_fract_x
_atom_site_fract_y
_atom_site_fract_z
Pm1 Pm 0.192 0.250 0.250
B1 B 0.364 0.750 0.944
Se1 Se 0.266 0.750 0.577
O1 O 0.172 0.750 0.045
O2 O 0.400 0.250 0.972
```

Most intense lines, 2θ from 10° to 90°, most intense first:
2θ = 23.9°, 3.727 Å, I 100.0, (0 1 1)
2θ = 37.4°, 2.405 Å, I 46.0, (0 2 0)
2θ = 36.3°, 2.475 Å, I 39.5, (1 1 -2)
2θ = 32.0°, 2.793 Å, I 27.3, (2 0 0)
2θ = 42.1°, 2.145 Å, I 23.8, (1 1 2)
2θ = 32.3°, 2.775 Å, I 23.3, (2 0 -1)
2θ = 19.3°, 4.600 Å, I 23.2, (1 0 -1)
2θ = 43.1°, 2.098 Å, I 20.7, (2 1 1)


Entry 6:
Tb3PmB4O12: computed powder X-ray diffraction pattern (Cu Ka), based on a cell relaxed with GGA-PBE.

Crystal structure
```
data_Tb3PmB4O12
_chemical_formula_sum 'Tb9 Pm3 B12 O36'
_space_group_name_H-M_alt 'R 3 2'
_space_group_IT_number 155
_space_group_name_Hall 'R 3 2"'
_cell_length_a 10.1900
_cell_length_b 10.1900
_cell_length_c 8.5977
_cell_angle_alpha 90.00
_cell_angle_beta 90.00
_cell_angle_gamma 120.00
loop_
_atom_site_label
_atom_site_type_symbol
_atom_site_fract_x
_atom_site_fract_y
_atom_site_fract_z
Tb1 Tb 0.0000 0.5329 0.0000
Pm1 Pm 0.0000 0.0000 0.0000
B1 B 0.0000 0.0000 0.5000
B2 B 0.0000 0.4662 0.5000
O1 O 0.0000 0.6015 0.5000
O2 O 0.0000 0.8647 0.5000
O3 O 0.0014 0.1958 0.1688
```

Most intense lines, 2θ from 10° to 90°, most intense first:
2θ = 22.7°, 3.926 Å, I 100.0, (0 2 1)
2θ = 29.0°, 3.079 Å, I 97.2, (2 0 2)
2θ = 47.8°, 1.904 Å, I 36.5, (2 2 3)
2θ = 35.2°, 2.548 Å, I 32.5, (2 2 0)
2θ = 47.0°, 1.932 Å, I 24.7, (0 2 4)
2θ = 42.3°, 2.137 Å, I 22.3, (4 0 1)
2θ = 42.5°, 2.127 Å, I 15.1, (3 1 2)
2θ = 46.3°, 1.963 Å, I 14.6, (0 4 2)